Theoretical XRD peak list of NiH12S2N2O10 for a wavelength of 1.5418 Å, from DFT lattice parameters and positions (PBE+U).
Lines closer than 0.1° are merged.

The 12 most intense peaks (2θ = 15–90°), in order of falling intensity:
d (Å)  I/Imax
4.655  100
3.504  73
4.727  66
3.257  42
3.519  36
5.405  34
2.872  34
3.054  27
2.698  25
2.997  25
3.380  17
1.834  15

Crystal structure
Cell lengths 6.532, 6.629, 6.851 Å; angles 89.15, 67.06, 69.35 degrees
Positions (direct):
Ni 0.000 0.000 0.000
H 0.182 0.297 0.828
H 0.208 0.291 0.048
H 0.236 0.698 0.187
H 0.245 0.928 0.241
H 0.276 0.669 0.674
H 0.277 0.907 0.593
H 0.723 0.093 0.407
H 0.724 0.331 0.326
H 0.755 0.072 0.759
H 0.764 0.302 0.813
H 0.792 0.709 0.952
H 0.818 0.703 0.172
S 0.396 0.273 0.356
S 0.604 0.727 0.644
N 0.304 0.807 0.706
N 0.696 0.193 0.294
O 0.124 0.253 0.971
O 0.150 0.857 0.207
O 0.269 0.401 0.570
O 0.355 0.400 0.188
O 0.361 0.067 0.349
O 0.639 0.933 0.651
O 0.645 0.600 0.812
O 0.731 0.599 0.430
O 0.850 0.143 0.793
O 0.876 0.747 0.029